Structure and calculated powder X-ray diffraction pattern of Zn3P2H4O8 (a DFT-relaxed cell (PBE, the Materials Project); Cu Kα (weighted mean of Kα1 and Kα2)).
Intensities are scaled so that the largest is 100.

Principal peaks in the range 2θ from 10° to 90°, low angle first:
12.31°, I = 100, hkl 0 0 1; 15.24°, I = 17, hkl 0 1 0; 16.66°, I = 40, hkl 1 0 0; 19.92°, I = 78, hkl 1 0 -1; 21.58°, I = 24, hkl 1 0 1; 25.31°, I = 35, hkl -1 1 1; 31.15°, I = 31, hkl 1 0 2; 32.23°, I = 29, hkl 1 1 -2; 32.46°, I = 41, hkl 0 2 -1; 34.02°, I = 36, hkl 0 2 1; 34.98°, I = 28, hkl 2 0 -1; 51.44°, I = 16, hkl 1 -2 3

Structure:
```
data_Zn3P2H4O8
_chemical_formula_sum 'Zn3 P2 H4 O8'
_symmetry_space_group_name_H-M 'P 1'
_symmetry_Int_Tables_number 1
_symmetry_space_group_name_Hall 'P 1'
_cell_length_a 5.341
_cell_length_b 5.828
_cell_length_c 7.231
_cell_angle_alpha 93.60
_cell_angle_beta 94.63
_cell_angle_gamma 91.72
loop_
_atom_site_label
_atom_site_fract_x
_atom_site_fract_y
_atom_site_fract_z
_atom_site_occupancy
Zn1 0.000 0.000 0.000 1
Zn2 0.178 0.744 0.402 1
Zn3 0.822 0.256 0.598 1
P1 0.294 0.253 0.355 1
P2 0.706 0.747 0.645 1
H1 0.215 0.752 0.935 1
H2 0.250 0.211 0.894 1
H3 0.750 0.789 0.106 1
H4 0.785 0.248 0.065 1
O1 0.171 0.246 0.540 1
O2 0.190 0.018 0.235 1
O3 0.217 0.459 0.243 1
O4 0.421 0.773 0.618 1
O5 0.579 0.227 0.382 1
O6 0.783 0.541 0.757 1
O7 0.810 0.982 0.765 1
O8 0.829 0.754 0.460 1
```

---

Structure and calculated powder X-ray diffraction pattern of ZnP2H4O4 (a DFT-relaxed cell (PBE, the Materials Project); Cu Kα (weighted mean of Kα1 and Kα2)).
Intensities are scaled so that the largest is 100.

Principal peaks in the range 2θ from 10° to 90°, low angle first:
11.79°, I = 100, hkl 0 0 1; 16.18°, I = 56, hkl 0 1 0; 23.71°, I = 8, hkl 0 0 2; 24.27°, I = 31, hkl 1 1 1; 27.38°, I = 19, hkl 1 0 2; 31.81°, I = 20, hkl 2 1 0; 32.70°, I = 17, hkl 0 2 0; 34.03°, I = 43, hkl 2 1 1; 39.60°, I = 18, hkl 0 1 3; 44.78°, I = 15, hkl 2 2 1; 59.20°, I = 12, hkl 2 3 1; 66.83°, I = 12, hkl 2 2 4

Structure:
```
data_ZnP2H4O4
_chemical_formula_sum 'Zn2 P4 H8 O8'
_symmetry_space_group_name_H-M 'P 1'
_symmetry_Int_Tables_number 1
_symmetry_space_group_name_Hall 'P 1'
_cell_length_a 6.558
_cell_length_b 5.477
_cell_length_c 7.507
_cell_angle_alpha 90.00
_cell_angle_beta 90.00
_cell_angle_gamma 90.00
loop_
_atom_site_label
_atom_site_fract_x
_atom_site_fract_y
_atom_site_fract_z
_atom_site_occupancy
Zn1 0.000 0.000 0.000 1
Zn2 0.500 0.000 0.000 1
P1 0.250 0.000 0.372 1
P2 0.250 0.500 0.858 1
P3 0.750 0.000 0.628 1
P4 0.750 0.500 0.142 1
H1 0.077 0.500 0.746 1
H2 0.250 0.202 0.491 1
H3 0.250 0.798 0.491 1
H4 0.423 0.500 0.746 1
H5 0.577 0.500 0.254 1
H6 0.750 0.202 0.509 1
H7 0.750 0.798 0.509 1
H8 0.923 0.500 0.254 1
O1 0.050 0.000 0.267 1
O2 0.250 0.262 0.966 1
O3 0.250 0.738 0.966 1
O4 0.450 0.000 0.267 1
O5 0.550 0.000 0.733 1
O6 0.750 0.262 0.034 1
O7 0.750 0.738 0.034 1
O8 0.950 0.000 0.733 1
```